1.
Structure and calculated X-ray diffraction stick pattern of Pm2HoEr12 (a crystal structure in Alexandria, relaxed with GGA-PBE; copper Kα).
Intensities are scaled so that the largest is 100.

Structural model:
Unit cell a=6.408 b=6.408 c=24.507 alpha=90.00 beta=90.00 gamma=90.00
Space group P4/nbm (No. 125, origin choice 2)
Symmetry-distinct sites (fractional):
Pm1 0.250 0.750 0.238 (multiplicity 4)
Ho1 0.250 0.750 0.500 (multiplicity 2)
Er1 0.001 0.501 0.389 (multiplicity 8)
Er2 0.081 0.581 0.939 (multiplicity 8)
Er3 0.250 0.250 0.162 (multiplicity 4)
Er4 0.250 0.250 0.288 (multiplicity 4)

Main lines, sorted by position (15 to 90 degrees two-theta):
| two_theta | I/Imax |
| --- | --- |
| 20.90 | 44 |
| 24.43 | 35 |
| 28.80 | 95 |
| 29.96 | 67 |
| 31.50 | 100 |
| 32.31 | 83 |
| 32.89 | 67 |
| 33.41 | 41 |
| 39.79 | 89 |
| 52.55 | 41 |

---

2.
Structure and calculated X-ray diffraction stick pattern of Pm2Ho6Er3 (a crystal structure in Alexandria, relaxed with GGA-PBE; copper Kα).
Intensities are scaled so that the largest is 100.

Structural model:
Unit cell a=6.074 b=10.538 c=11.634 alpha=90.00 beta=100.14 gamma=90.00
Space group C2/m (No. 12)
Symmetry-distinct sites (fractional):
Pm1 0.000 0.167 0.000 (multiplicity 4)
Ho1 0.249 0.167 0.747 (multiplicity 8)
Ho2 0.250 0.000 0.253 (multiplicity 4)
Er1 0.000 0.000 0.500 (multiplicity 2)
Er2 0.000 0.335 0.500 (multiplicity 4)

Main lines, sorted by position (15 to 90 degrees two-theta):
| two_theta | I/Imax |
| --- | --- |
| 31.22 | 100 |
| 36.21 | 51 |
| 52.14 | 36 |
| 62.00 | 28 |
| 62.11 | 14 |
| 65.12 | 12 |
| 76.78 | 4 |
| 85.26 | 12 |
| 87.95 | 8 |
| 88.14 | 6 |

---

3.
Structure and calculated X-ray diffraction stick pattern of PmHo4Er3 (a crystal structure in Alexandria, relaxed with GGA-PBE; copper Kα).
Intensities are scaled so that the largest is 100.

Structural model:
Unit cell a=3.537 b=7.055 c=9.978 alpha=90.00 beta=90.00 gamma=90.00
Space group Pmmm (No. 47)
Symmetry-distinct sites (fractional):
Pm1 0.000 0.000 0.000 (multiplicity 1)
Ho1 0.500 0.252 0.252 (multiplicity 4)
Er1 0.000 0.000 0.500 (multiplicity 1)
Er2 0.000 0.500 0.000 (multiplicity 1)
Er3 0.000 0.500 0.500 (multiplicity 1)

Main lines, sorted by position (15 to 90 degrees two-theta):
| two_theta | I/Imax |
| --- | --- |
| 31.02 | 100 |
| 35.97 | 51 |
| 51.69 | 6 |
| 51.81 | 30 |
| 61.56 | 21 |
| 61.64 | 21 |
| 64.60 | 6 |
| 64.73 | 6 |
| 84.61 | 12 |
| 87.37 | 14 |

---

4.
Structure and calculated X-ray diffraction stick pattern of PmHo5Er12 (a crystal structure in Alexandria, relaxed with GGA-PBE; copper Kα).
Intensities are scaled so that the largest is 100.

Structural model:
Unit cell a=6.098 b=10.543 c=10.544 alpha=60.02 beta=89.95 gamma=73.32
Space group P-1 (No. 2)
Symmetry-distinct sites (fractional):
Pm1 0.000 0.000 0.000 (multiplicity 1)
Ho1 0.000 0.333 0.333 (multiplicity 2)
Ho2 0.499 0.334 0.833 (multiplicity 2)
Ho3 0.500 0.000 0.500 (multiplicity 1)
Er1 0.000 0.000 0.334 (multiplicity 2)
Er2 0.001 0.665 0.000 (multiplicity 2)
Er3 0.001 0.666 0.335 (multiplicity 2)
Er4 0.500 0.000 0.168 (multiplicity 2)
Er5 0.500 0.334 0.167 (multiplicity 2)
Er6 0.500 0.334 0.500 (multiplicity 2)

Main lines, sorted by position (15 to 90 degrees two-theta):
| two_theta | I/Imax |
| --- | --- |
| 31.14 | 100 |
| 36.09 | 34 |
| 36.14 | 17 |
| 51.92 | 12 |
| 52.03 | 24 |
| 61.81 | 18 |
| 61.91 | 21 |
| 64.97 | 9 |
| 85.03 | 7 |
| 87.76 | 8 |

---

5.
Structure and calculated X-ray diffraction stick pattern of PmHo2Er12 (a crystal structure in Alexandria, relaxed with GGA-PBE; copper Kα).
Intensities are scaled so that the largest is 100.

Structural model:
Unit cell a=3.586 b=5.619 c=23.317 alpha=90.00 beta=94.40 gamma=90.00
Space group P2/m (No. 10)
Symmetry-distinct sites (fractional):
Pm1 0.000 0.000 0.000 (multiplicity 1)
Ho1 0.145 0.000 0.286 (multiplicity 2)
Er1 0.098 0.500 0.194 (multiplicity 2)
Er2 0.222 0.500 0.443 (multiplicity 2)
Er3 0.286 0.000 0.575 (multiplicity 2)
Er4 0.337 0.500 0.677 (multiplicity 2)
Er5 0.422 0.000 0.851 (multiplicity 2)
Er6 0.469 0.500 0.932 (multiplicity 2)

Main lines, sorted by position (15 to 90 degrees two-theta):
| two_theta | I/Imax |
| --- | --- |
| 30.34 | 16 |
| 30.77 | 15 |
| 31.29 | 32 |
| 31.85 | 47 |
| 32.54 | 100 |
| 34.37 | 28 |
| 34.75 | 17 |
| 57.19 | 20 |
| 59.03 | 13 |
| 61.33 | 15 |

---

6.
Structure and calculated X-ray diffraction stick pattern of Pm5Ho3Er (a crystal structure in Alexandria, relaxed with GGA-PBE; copper Kα).
Intensities are scaled so that the largest is 100.

Structural model:
Unit cell a=16.272 b=6.762 c=11.807 alpha=90.00 beta=108.28 gamma=90.00
Space group C2/c (No. 15)
Symmetry-distinct sites (fractional):
Pm1 0.000 0.173 0.250 (multiplicity 4)
Pm2 0.111 0.060 0.010 (multiplicity 8)
Pm3 0.181 0.439 0.445 (multiplicity 8)
Ho1 0.000 0.500 0.000 (multiplicity 4)
Ho2 0.214 0.189 0.766 (multiplicity 8)
Er1 0.000 0.314 0.750 (multiplicity 4)

Main lines, sorted by position (15 to 90 degrees two-theta):
| two_theta | I/Imax |
| --- | --- |
| 28.02 | 15 |
| 30.89 | 100 |
| 31.27 | 40 |
| 31.90 | 51 |
| 32.00 | 23 |
| 33.98 | 13 |
| 35.25 | 21 |
| 53.38 | 14 |
| 55.71 | 12 |
| 63.05 | 12 |

---

7.
Structure and calculated X-ray diffraction stick pattern of Pm8Ho3Er2 (a crystal structure in Alexandria, relaxed with GGA-PBE; copper Kα).
Intensities are scaled so that the largest is 100.

Structural model:
Unit cell a=6.144 b=8.488 c=9.752 alpha=64.50 beta=76.55 gamma=71.85
Space group P-1 (No. 2)
Symmetry-distinct sites (fractional):
Pm1 0.066 0.268 0.147 (multiplicity 2)
Pm2 0.262 0.421 0.383 (multiplicity 2)
Pm3 0.279 0.356 0.763 (multiplicity 2)
Pm4 0.366 0.964 0.698 (multiplicity 2)
Ho1 0.185 0.810 0.467 (multiplicity 2)
Ho2 0.500 0.500 0.000 (multiplicity 1)
Er1 0.216 0.867 0.091 (multiplicity 2)

Main lines, sorted by position (15 to 90 degrees two-theta):
| two_theta | I/Imax |
| --- | --- |
| 25.12 | 17 |
| 29.18 | 49 |
| 30.79 | 100 |
| 31.21 | 76 |
| 31.56 | 77 |
| 32.50 | 60 |
| 32.74 | 89 |
| 33.66 | 21 |
| 40.95 | 20 |
| 48.75 | 23 |

---

8.
Structure and calculated X-ray diffraction stick pattern of Pm5Ho3Er4 (a crystal structure in Alexandria, relaxed with GGA-PBE; copper Kα).
Intensities are scaled so that the largest is 100.

Structural model:
Unit cell a=12.506 b=5.734 c=10.976 alpha=90.00 beta=96.38 gamma=90.00
Space group C2/m (No. 12)
Symmetry-distinct sites (fractional):
Pm1 0.000 0.000 0.000 (multiplicity 2)
Pm2 0.100 0.500 0.591 (multiplicity 4)
Pm3 0.145 0.500 0.269 (multiplicity 4)
Ho1 0.000 0.500 0.000 (multiplicity 2)
Ho2 0.244 0.500 0.891 (multiplicity 4)
Er1 0.078 0.000 0.755 (multiplicity 4)
Er2 0.148 0.000 0.451 (multiplicity 4)

Main lines, sorted by position (15 to 90 degrees two-theta):
| two_theta | I/Imax |
| --- | --- |
| 28.51 | 31 |
| 29.30 | 41 |
| 29.97 | 82 |
| 30.64 | 99 |
| 30.79 | 76 |
| 31.20 | 100 |
| 34.69 | 26 |
| 41.30 | 20 |
| 44.40 | 56 |
| 55.13 | 30 |

---

9.
Structure and calculated X-ray diffraction stick pattern of Pm4HoEr10 (a crystal structure in Alexandria, relaxed with GGA-PBE; copper Kα).
Intensities are scaled so that the largest is 100.

Structural model:
Unit cell a=11.200 b=11.200 c=7.903 alpha=90.00 beta=90.00 gamma=90.00
Space group I4/mmm (No. 139)
Symmetry-distinct sites (fractional):
Pm1 0.228 0.228 0.000 (multiplicity 8)
Ho1 0.000 0.000 0.000 (multiplicity 2)
Er1 0.000 0.208 0.294 (multiplicity 16)
Er2 0.000 0.500 0.250 (multiplicity 4)

Main lines, sorted by position (15 to 90 degrees two-theta):
| two_theta | I/Imax |
| --- | --- |
| 27.63 | 25 |
| 30.93 | 26 |
| 31.98 | 100 |
| 33.98 | 34 |
| 34.99 | 15 |
| 41.12 | 32 |
| 45.87 | 19 |
| 53.71 | 14 |
| 57.03 | 16 |
| 68.02 | 16 |

---

10.
Structure and calculated X-ray diffraction stick pattern of Pm2Pr2Ho4Er (a crystal structure in Alexandria, relaxed with GGA-PBE; copper Kα).
Intensities are scaled so that the largest is 100.

Structural model:
Unit cell a=18.805 b=3.626 c=9.641 alpha=90.00 beta=115.74 gamma=90.00
Space group C2/m (No. 12)
Symmetry-distinct sites (fractional):
Pm1 0.147 0.000 0.162 (multiplicity 4)
Pr1 0.165 0.500 0.501 (multiplicity 4)
Ho1 0.020 0.500 0.832 (multiplicity 4)
Ho2 0.185 0.000 0.836 (multiplicity 4)
Er1 0.000 0.000 0.500 (multiplicity 2)

Main lines, sorted by position (15 to 90 degrees two-theta):
| two_theta | I/Imax |
| --- | --- |
| 28.66 | 36 |
| 29.28 | 17 |
| 30.89 | 51 |
| 31.66 | 100 |
| 33.34 | 90 |
| 50.38 | 39 |
| 54.32 | 21 |
| 57.59 | 20 |
| 60.28 | 46 |
| 85.97 | 18 |

---

11.
Structure and calculated X-ray diffraction stick pattern of PmPrHoEr3 (a crystal structure in Alexandria, relaxed with GGA-PBE; copper Kα).
Intensities are scaled so that the largest is 100.

Structural model:
Unit cell a=5.050 b=15.130 c=10.103 alpha=90.00 beta=90.00 gamma=90.00
Space group Cmcm (No. 63)
Symmetry-distinct sites (fractional):
Pm1 0.000 0.000 0.250 (multiplicity 4)
Pr1 0.000 0.500 0.000 (multiplicity 4)
Ho1 0.000 0.331 0.250 (multiplicity 4)
Er1 0.000 0.169 0.000 (multiplicity 8)
Er2 0.000 0.331 0.750 (multiplicity 4)

Main lines, sorted by position (15 to 90 degrees two-theta):
| two_theta | I/Imax |
| --- | --- |
| 30.67 | 100 |
| 35.57 | 51 |
| 51.18 | 36 |
| 60.86 | 43 |
| 63.87 | 12 |
| 75.25 | 4 |
| 75.38 | 2 |
| 83.46 | 18 |
| 86.11 | 11 |
| 86.22 | 5 |

---

12.
Structure and calculated X-ray diffraction stick pattern of PmPrHoEr (a crystal structure in Alexandria, relaxed with GGA-PBE; copper Kα).
Intensities are scaled so that the largest is 100.

Structural model:
Unit cell a=12.462 b=5.904 c=3.772 alpha=90.00 beta=107.01 gamma=90.00
Space group Cm (No. 8)
Symmetry-distinct sites (fractional):
Pm1 0.000 0.000 0.000 (multiplicity 2)
Pr1 0.267 0.000 0.827 (multiplicity 2)
Ho1 0.019 0.500 0.534 (multiplicity 2)
Er1 0.256 0.500 0.291 (multiplicity 2)

Main lines, sorted by position (15 to 90 degrees two-theta):
| two_theta | I/Imax |
| --- | --- |
| 29.99 | 58 |
| 30.27 | 59 |
| 31.79 | 99 |
| 32.03 | 100 |
| 43.14 | 43 |
| 48.26 | 15 |
| 54.24 | 20 |
| 54.73 | 42 |
| 54.90 | 22 |
| 58.04 | 17 |